Starting from DFT lattice parameters and positions (PBE), the powder diffraction line list of MgRu2Pb was computed for a wavelength of 1.5418 Å.
Peak positions follow from Bragg's law for the DFT cell and can differ from measured ones.

Structure:
```
data_MgRu2Pb
_chemical_formula_sum 'Mg2 Ru4 Pb2'
_cell_length_a 3.003
_cell_length_b 3.020
_cell_length_c 16.723
_cell_angle_alpha 90.00
_cell_angle_beta 90.00
_cell_angle_gamma 90.00
_space_group_name_H-M_alt 'P 1'
_space_group_IT_number 1
loop_
_space_group_symop_operation_xyz
'x,y,z'
loop_
_atom_site_label
_atom_site_fract_x
_atom_site_fract_y
_atom_site_fract_z
Mg1 0.000 0.000 0.000
Mg2 0.000 0.500 0.500
Ru1 0.000 0.000 0.197
Ru2 0.000 0.500 0.697
Ru3 0.500 0.000 0.606
Ru4 0.500 0.500 0.106
Pb1 0.500 0.000 0.822
Pb2 0.500 0.500 0.322
```

Principal peaks in the range 5° ≤ 2θ ≤ 70°, sorted by position:
h k l  2θ (°)  Rel. int.
0 0 2  10.58  100.0
0 0 4  21.25  26.2
0 1 3  33.75  34.1
1 0 4  36.85  70.7
0 1 5  40.23  59.5
1 1 1  42.81  72.0

***

Starting from DFT lattice parameters and positions (PBE), the powder diffraction line list of Pm2Pr3Nd2 was computed for a wavelength of 1.5418 Å.
Peak positions follow from Bragg's law for the DFT cell and can differ from measured ones.

Structure:
```
data_Pm2Pr3Nd2
_chemical_formula_sum 'Pm4 Pr6 Nd4'
_cell_length_a 17.948
_cell_length_b 3.586
_cell_length_c 8.861
_cell_angle_alpha 90.00
_cell_angle_beta 118.78
_cell_angle_gamma 90.00
_space_group_name_H-M_alt 'P 1'
_space_group_IT_number 1
loop_
_space_group_symop_operation_xyz
'x,y,z'
loop_
_atom_site_label
_atom_site_fract_x
_atom_site_fract_y
_atom_site_fract_z
Pm1 0.064 0.000 0.407
Pm2 0.436 0.500 0.593
Pm3 0.564 0.500 0.407
Pm4 0.936 0.000 0.593
Pr1 0.000 0.500 0.000
Pr2 0.214 0.500 0.302
Pr3 0.286 0.000 0.698
Pr4 0.500 0.000 0.000
Pr5 0.714 0.000 0.302
Pr6 0.786 0.500 0.698
Nd1 0.146 0.500 0.830
Nd2 0.354 0.000 0.170
Nd3 0.646 0.000 0.830
Nd4 0.854 0.500 0.170
```

Principal peaks in the range 5° ≤ 2θ ≤ 70°, sorted by position:
h k l  2θ (°)  Rel. int.
1 1 -1  26.82  38.8
2 0 2  30.18  100.0
6 0 -1  30.28  75.8
4 0 -3  30.89  64.4
3 1 -2  32.68  58.9
3 1 1  35.26  38.3